[1]
This entry pairs a crystal structure of GdTh3 with its calculated X-ray diffraction stick pattern. Radiation: a wavelength of 1.5418 Å. Structure: a DFT-relaxed cell (GGA-PBE, the Materials Project).
Peak positions follow from Bragg's law for the DFT cell and can differ from measured ones.

The 6 most intense peaks (2θ = 15–90°), in order of rising 2θ:
2θ/deg, intensity
29.78, 100
34.52, 51
49.62, 38
58.95, 45
80.58, 19
83.12, 18

Structural model:
abc: 5.197 5.197 5.197
angles: 90.00 90.00 90.00
Positions (direct):
Gd 0.000 0.000 0.000
Th 0.000 0.500 0.500
Th 0.500 0.000 0.500
Th 0.500 0.500 0.000

***

[2]
This entry pairs a crystal structure of Gd2Tl with its calculated X-ray diffraction stick pattern. Radiation: a wavelength of 1.5418 Å. Structure: a DFT-relaxed cell (GGA-PBE, the Materials Project).
Peak positions follow from Bragg's law for the DFT cell and can differ from measured ones.

The 6 most intense peaks (2θ = 15–90°), in order of rising 2θ:
2θ/deg, intensity
32.33, 88
32.72, 100
46.66, 32
58.16, 33
58.40, 19
64.36, 29

Structural model:
abc: 5.474 5.474 6.822
angles: 90.00 90.00 120.00
Positions (direct):
Gd 0.000 0.000 0.000
Gd 0.000 0.000 0.500
Gd 0.333 0.667 0.250
Gd 0.667 0.333 0.750
Tl 0.333 0.667 0.750
Tl 0.667 0.333 0.250

***

[3]
This entry pairs a crystal structure of GdTl3 with its calculated X-ray diffraction stick pattern. Radiation: a wavelength of 1.5418 Å. Structure: a DFT-relaxed cell (GGA-PBE, the Materials Project).
Peak positions follow from Bragg's law for the DFT cell and can differ from measured ones.

The 6 most intense peaks (2θ = 15–90°), in order of rising 2θ:
2θ/deg, intensity
32.26, 100
37.42, 51
53.95, 36
64.27, 42
67.50, 12
88.71, 19

Structural model:
abc: 4.807 4.807 4.807
angles: 90.00 90.00 90.00
Positions (direct):
Gd 0.000 0.000 0.000
Tl 0.000 0.500 0.500
Tl 0.500 0.000 0.500
Tl 0.500 0.500 0.000